Structure and theoretical powder diffractogram of Cr3Cu2NiSe8 (a DFT-relaxed cell (GGA-PBE, Alexandria); λ = 1.5418 Å (Cu Kα)).
Peak positions follow from Bragg's law for the DFT cell and can differ from measured ones.

Cell and atoms:
```
data_Cr3Cu2NiSe8
_chemical_formula_sum 'Cr9 Cu6 Ni3 Se24'
_cell_length_a 7.2724
_cell_length_b 7.2724
_cell_length_c 18.1142
_cell_angle_alpha 90.00
_cell_angle_beta 90.00
_cell_angle_gamma 120.00
_space_group_name_H-M_alt 'R -3 m'
_space_group_IT_number 166
_space_group_name_Hall '-R 3 2"'
loop_
_atom_site_label
_atom_site_fract_x
_atom_site_fract_y
_atom_site_fract_z
Cr1 0.0000 0.5000 0.0000
Cu1 0.0000 0.0000 0.1263
Ni1 0.0000 0.0000 0.5000
Se1 0.0000 0.0000 0.2580
Se2 0.0256 0.5128 0.2511
```

Peak list (8 most intense, 2θ = 5–70°, in order of rising 2θ)
| 2θ (°) | Rel. int. |
| --- | --- |
| 28.7 | 26 |
| 29.6 | 16 |
| 30.0 | 46 |
| 34.7 | 100 |
| 45.6 | 22 |
| 49.6 | 66 |
| 50.2 | 62 |
| 62.4 | 15 |